Computed PXRD pattern
Compound: Ce4Se3I
Radiation: λ = 1.5418 Å (Cu Kα)
Structure: a structure optimized by DFT (GGA-PBE)

Crystal structure
```
data_Ce4Se3I
_chemical_formula_sum 'Ce4 Se3 I1'
_symmetry_space_group_name_H-M 'P -3 m 1'
_symmetry_Int_Tables_number 164
_symmetry_space_group_name_Hall '-P 3 2"'
_cell_length_a 4.1047
_cell_length_b 4.1047
_cell_length_c 15.3708
_cell_angle_alpha 90.00
_cell_angle_beta 90.00
_cell_angle_gamma 120.00
loop_
_atom_site_label
_atom_site_type_symbol
_atom_site_fract_x
_atom_site_fract_y
_atom_site_fract_z
Ce1 Ce 0.3333 0.6667 0.3491
Ce2 Ce 0.3333 0.6667 0.8804
Se1 Se 0.0000 0.0000 0.0000
Se2 Se 0.0000 0.0000 0.2370
I1 I 0.0000 0.0000 0.5000
```

Most intense lines, 2θ = 10–80°, by angle:
- (1 0 2), 3.226 Å, intensity 100.0
- (0 1 4), 2.609 Å, intensity 94.2
- (1 0 6), 2.078 Å, intensity 17.8
- (1 1 0), 2.052 Å, intensity 52.3
- (0 2 2), 1.732 Å, intensity 16.5
- (2 0 4), 1.613 Å, intensity 21.5
- (1 1 8), 1.403 Å, intensity 16.2
- (1 2 4), 1.268 Å, intensity 19.3

Computed PXRD pattern
Compound: CeSiI
Radiation: λ = 1.5418 Å (Cu Kα)
Structure: a structure optimized by DFT (GGA-PBE)

Crystal structure
```
data_CeSiI
_chemical_formula_sum 'Ce2 Si2 I2'
_symmetry_space_group_name_H-M 'P -3 m 1'
_symmetry_Int_Tables_number 164
_symmetry_space_group_name_Hall '-P 3 2"'
_cell_length_a 4.1517
_cell_length_b 4.1517
_cell_length_c 12.1027
_cell_angle_alpha 90.00
_cell_angle_beta 90.00
_cell_angle_gamma 120.00
loop_
_atom_site_label
_atom_site_type_symbol
_atom_site_fract_x
_atom_site_fract_y
_atom_site_fract_z
Ce1 Ce 0.0000 0.0000 0.1597
Si1 Si 0.3333 0.6667 0.9958
I1 I 0.3333 0.6667 0.3387
```

Most intense lines, 2θ = 10–80°, by angle:
- (0 0 2), 6.051 Å, intensity 18.3
- (0 1 1), 3.447 Å, intensity 71.9
- (0 1 2), 3.091 Å, intensity 37.7
- (1 0 3), 2.684 Å, intensity 100.0
- (1 1 0), 2.076 Å, intensity 43.9
- (0 2 3), 1.642 Å, intensity 22.5
- (1 1 6), 1.447 Å, intensity 25.9
- (2 1 3), 1.288 Å, intensity 20.0